# 1
Theoretical X-ray powder pattern of Sm5Sb3 for Cu Kα, 1.54184 Å, from a PBE-relaxed structure.
Peak positions follow from Bragg's law for the DFT cell and can differ from measured ones.

Peak list (10 most intense, 10° ≤ 2θ ≤ 90°, sorted by position)
2θ 27.70, I 17.3, (0 0 2)
2θ 29.69, I 31.9, (2 1 0)
2θ 29.93, I 18.4, (1 0 2)
2θ 32.85, I 100.0, (2 1 1)
2θ 33.78, I 55.6, (3 0 0)
2θ 33.99, I 85.9, (1 1 2)
2θ 48.68, I 23.3, (2 2 2)
2θ 52.05, I 14.7, (3 2 1)
2θ 52.35, I 26.6, (2 1 3)
2θ 65.39, I 14.6, (5 0 2)

Cell and atoms:
Unit cell a=9.1922 b=9.1922 c=6.4402 alpha=90.00 beta=90.00 gamma=120.00
Space group P6_3/mcm (No. 193)
Inequivalent atoms, fractional coordinates:
Sm (0.0000, 0.2485, 0.2500) (multiplicity 6)
Sm (0.3333, 0.6667, 0.0000) (multiplicity 4)
Sb (0.0000, 0.3872, 0.7500) (multiplicity 6)

=====

# 2
Theoretical X-ray powder pattern of SmSbTe3 for Cu Kα, 1.54184 Å, from a PBE-relaxed structure.
Peak positions follow from Bragg's law for the DFT cell and can differ from measured ones.

Peak list (10 most intense, 10° ≤ 2θ ≤ 90°, sorted by position)
2θ 27.31, I 100.0, (0 1 5)
2θ 36.94, I 33.7, (1 0 10)
2θ 40.99, I 36.7, (1 1 0)
2θ 44.18, I 7.3, (1 0 13)
2θ 49.96, I 18.8, (2 0 5)
2θ 56.35, I 9.8, (0 2 10)
2θ 60.85, I 9.6, (1 1 15)
2θ 66.53, I 15.7, (1 2 5)
2θ 68.33, I 9.2, (1 1 18)
2θ 72.00, I 9.4, (2 1 10)

Cell and atoms:
Unit cell a=4.4039 b=4.4039 c=31.6069 alpha=90.00 beta=90.00 gamma=120.00
Space group R3m (No. 160, hexagonal axes)
Inequivalent atoms, fractional coordinates:
Sm (0.0000, 0.0000, 0.0000) (multiplicity 3)
Sb (0.0000, 0.0000, 0.2030) (multiplicity 3)
Te (0.0000, 0.0000, 0.3873) (multiplicity 3)
Te (0.0000, 0.0000, 0.6026) (multiplicity 3)
Te (0.0000, 0.0000, 0.8183) (multiplicity 3)